This entry pairs a crystal structure of Pm2ZnAg5 with its theoretical powder diffractogram. Radiation: Cu Kα (weighted mean of Kα1 and Kα2). Structure: a crystal structure in Alexandria, relaxed with GGA-PBE.
No peak broadening, texture or thermal motion is included.

Structural model:
Lattice parameters (Å, degrees): 8.7957 8.7957 9.8265 90.00 90.00 151.90
Element x y z (fractional)
Pm (0.0000, 0.0000, 0.0000)
Pm (0.0000, 0.0000, 0.5000)
Pm (0.1895, 0.8105, 0.7500)
Pm (0.8105, 0.1895, 0.2500)
Zn (0.4561, 0.5439, 0.2500)
Zn (0.5439, 0.4561, 0.7500)
Ag (0.1993, 0.8007, 0.1052)
Ag (0.1993, 0.8007, 0.3948)
Ag (0.3652, 0.6348, 0.0341)
Ag (0.3652, 0.6348, 0.4659)
Ag (0.3923, 0.6077, 0.7500)
Ag (0.6077, 0.3923, 0.2500)
Ag (0.6348, 0.3652, 0.5341)
Ag (0.6348, 0.3652, 0.9659)
Ag (0.8007, 0.1993, 0.6052)
Ag (0.8007, 0.1993, 0.8948)

Principal peaks in the range 10 to 80 degrees two-theta, low angle first:
2.804 Å, I = 73.7
2.666 Å, I = 100.0
2.598 Å, I = 16.0
2.570 Å, I = 87.5
2.458 Å, I = 21.9
2.148 Å, I = 36.9
2.135 Å, I = 44.7
2.068 Å, I = 16.7
1.612 Å, I = 16.1
1.514 Å, I = 25.0